The following is a theoretical PXRD pattern of Ti10FeSb5. It was derived from the GGA-PBE geometry in the Materials Project, using Cu Ka.
No peak broadening, texture or thermal motion is included.

Atomic structure:
```
Ti10FeSb5
1.0
-5.2511 5.2511 2.6109
5.2511 -5.2511 2.6109
5.2511 5.2511 -2.6109
Ti Fe Sb
10 1 5
direct
0.0000 0.5000 0.5000
0.0226 0.1643 0.7087
0.1643 0.4556 0.1417
0.3139 0.0226 0.8583
0.4556 0.3139 0.2913
0.5000 0.0000 0.5000
0.5444 0.8357 0.8583
0.6861 0.5444 0.7087
0.8357 0.9774 0.2913
0.9774 0.6861 0.1417
0.0000 0.0000 0.0000
0.0861 0.9139 0.5000
0.4139 0.5861 0.5000
0.5000 0.5000 0.0000
0.5861 0.0861 0.1723
0.9139 0.4139 0.8277
```

Peak list (12 most intense, 2θ = 10–80°, most intense first)
2theta	Rel. int.
39.4	100
25.5	62
38.5	49
38.3	44
50.8	25
49.9	25
26.8	23
35.3	21
64.9	21
34.3	18
36.3	17
49.2	17